Record 1
The following is a theoretical powder X-ray diffraction pattern of MgSi2. It was derived from DFT lattice parameters and positions (GGA-PBE), using Cu Kα (λ = 1.5418 Å).
Intensities are scaled so that the largest is 100.

Most intense lines, 2θ from 5° to 70°, low angle first:
2theta  intensity  index
33.7  43  2 1 0
35.8  69  1 1 2
36.0  100  2 1 1
36.6  46  1 0 -3
40.9  95  2 1 -2
48.8  61  0 2 0

Crystal structure
```
data_MgSi2
_chemical_formula_sum 'Mg4 Si8'
_cell_length_a 7.564
_cell_length_b 3.731
_cell_length_c 7.706
_cell_angle_alpha 90.00
_cell_angle_beta 91.61
_cell_angle_gamma 90.00
_space_group_name_H-M_alt 'P 1'
_space_group_IT_number 1
loop_
_space_group_symop_operation_xyz
'x,y,z'
loop_
_atom_site_label
_atom_site_type_symbol
_atom_site_fract_x
_atom_site_fract_y
_atom_site_fract_z
Mg1 Mg 0.152 0.250 0.394
Mg2 Mg 0.189 0.750 0.041
Mg3 Mg 0.811 0.250 0.959
Mg4 Mg 0.848 0.750 0.606
Si1 Si 0.096 0.250 0.754
Si2 Si 0.285 0.750 0.694
Si3 Si 0.433 0.750 0.416
Si4 Si 0.467 0.250 0.098
Si5 Si 0.533 0.750 0.902
Si6 Si 0.567 0.250 0.584
Si7 Si 0.715 0.250 0.306
Si8 Si 0.904 0.750 0.246
```

---

Record 2
The following is a theoretical powder X-ray diffraction pattern of Mg6Si5. It was derived from DFT lattice parameters and positions (GGA-PBE), using Cu Kα (λ = 1.5418 Å).
Intensities are scaled so that the largest is 100.

Most intense lines, 2θ from 5° to 70°, low angle first:
2theta  intensity  index
33.3  24  2 1 0
35.3  77  1 1 -4
36.3  100  2 1 2
37.9  35  2 1 -3
38.8  35  0 1 5
43.6  68  0 2 0

Crystal structure
```
data_Mg6Si5
_chemical_formula_sum 'Mg12 Si10'
_cell_length_a 7.068
_cell_length_b 4.152
_cell_length_c 14.034
_cell_angle_alpha 90.00
_cell_angle_beta 93.27
_cell_angle_gamma 90.00
_space_group_name_H-M_alt 'P 1'
_space_group_IT_number 1
loop_
_space_group_symop_operation_xyz
'x,y,z'
loop_
_atom_site_label
_atom_site_type_symbol
_atom_site_fract_x
_atom_site_fract_y
_atom_site_fract_z
Mg1 Mg 0.000 0.000 0.000
Mg2 Mg 0.007 0.000 0.220
Mg3 Mg 0.148 0.500 0.851
Mg4 Mg 0.189 0.500 0.351
Mg5 Mg 0.230 0.000 0.518
Mg6 Mg 0.287 0.500 0.106
Mg7 Mg 0.444 0.000 0.775
Mg8 Mg 0.625 0.000 0.105
Mg9 Mg 0.633 0.500 0.933
Mg10 Mg 0.652 0.000 0.602
Mg11 Mg 0.686 0.500 0.286
Mg12 Mg 0.916 0.500 0.540
Si1 Si 0.051 0.000 0.690
Si2 Si 0.285 0.500 0.658
Si3 Si 0.364 0.000 0.960
Si4 Si 0.385 0.000 0.244
Si5 Si 0.484 0.500 0.489
Si6 Si 0.552 0.000 0.398
Si7 Si 0.737 0.500 0.738
Si8 Si 0.847 0.000 0.824
Si9 Si 0.880 0.500 0.108
Si10 Si 0.903 0.000 0.402
```